ScRu2O6: simulated XRD peak list (CuKα), based on a structure optimized by DFT (PBE).
Kinematic intensities with the Lorentz-polarization factor, no thermal factor.

Most intense lines, 2θ = 10–90°, in order of falling intensity:
| 2theta | I/Imax |
| --- | --- |
| 28.62 | 100 |
| 55.05 | 40 |
| 35.40 | 35 |
| 46.14 | 26 |
| 59.47 | 24 |
| 63.56 | 16 |
| 20.22 | 15 |
| 41.03 | 9 |
| 88.96 | 9 |
| 82.05 | 9 |
| 66.85 | 8 |
| 88.66 | 8 |

Structural model:
```
27
Lattice="8.783 0.000 0.000 -4.392 7.607 0.000 0.000 0.000 4.430" Properties=species:S:1:pos:R:3 pbc="T T T"
Sc 0.000 0.000 0.000
Sc 0.000 5.071 2.210
Sc 4.392 2.536 2.220
Ru -1.500 2.598 0.000
Ru -2.964 5.134 2.215
Ru 1.428 2.473 2.215
Ru 3.000 0.000 0.000
Ru 2.892 5.009 0.000
Ru 5.928 0.000 2.215
O -1.554 4.234 1.104
O -0.034 1.767 1.093
O -2.845 6.752 1.093
O -0.025 3.306 3.313
O -1.516 5.976 3.313
O 1.547 0.854 3.336
O 2.875 1.631 1.117
O 1.502 4.144 1.104
O 0.052 6.835 1.104
O 2.838 3.372 3.326
O 4.444 0.771 3.326
O 1.542 5.932 3.313
O 2.878 6.694 1.093
O 4.366 4.301 1.117
O 5.933 1.675 1.117
O 4.358 5.840 3.336
O 7.270 0.913 3.336
O 5.894 3.463 3.326
```